Diffraction record for ScVFe. The powder XRD pattern is calculated, not measured: it uses a PBE-relaxed structure and λ = 1.5418 Å (Cu Kα).

Main lines, by angle (2θ = 15–90°):
Position (°2θ)	Rel. int.
26.72	33
30.95	17
44.34	100
52.52	13
55.05	4
64.50	15
71.12	5
73.26	5
81.62	28
87.77	4

Cell and atoms:
a b c (Å): 4.0861 4.0861 4.0861
angles (deg): 60.00 60.00 60.00
Element x y z (fractional)
Sc 0.0000 0.0000 0.0000
V 0.2500 0.2500 0.2500
Fe 0.5000 0.5000 0.5000

Diffraction record for Li4Sc3InSi8O24. The powder XRD pattern is calculated, not measured: it uses a PBE-relaxed structure and λ = 1.5418 Å (Cu Kα).

Main lines, by angle (2θ = 15–90°):
Position (°2θ)	Rel. int.
19.36	33
19.51	30
24.72	44
28.73	100
30.40	61
34.04	17
35.32	29
36.22	25
41.04	18
54.63	20
55.22	16
66.74	17

Cell and atoms:
a b c (Å): 5.4242 6.7405 13.1698
angles (deg): 89.14 81.51 75.05
Element x y z (fractional)
Li 0.0000 0.0000 0.0000
Li 0.2473 0.5059 0.2530
Li 0.4996 0.0009 0.5007
Li 0.7475 0.5048 0.7527
Sc 0.3200 0.3606 0.6805
Sc 0.8188 0.3619 0.1811
Sc 0.9272 0.1452 0.5731
In 0.4261 0.1482 0.0740
Si 0.0388 0.4655 0.9334
Si 0.2079 0.0394 0.3197
Si 0.2943 0.8676 0.7326
Si 0.4532 0.6377 0.0196
Si 0.5392 0.4652 0.4341
Si 0.7087 0.0400 0.8184
Si 0.7953 0.8668 0.2332
Si 0.9528 0.6379 0.5204
O 0.0055 0.8900 0.7987
O 0.0599 0.2920 0.0240
O 0.0862 0.3785 0.8162
O 0.1614 0.1273 0.4367
O 0.1755 0.2176 0.2312
O 0.2421 0.6145 0.4536
O 0.2512 0.5964 0.9452
O 0.2621 0.0480 0.6452
O 0.3285 0.8678 0.0651
O 0.4087 0.6330 0.6892
O 0.4856 0.4603 0.1088
O 0.4969 0.9067 0.8073
O 0.5050 0.8912 0.2993
O 0.5691 0.2901 0.5241
O 0.5856 0.3786 0.3170
O 0.6730 0.1296 0.9337
O 0.6784 0.2151 0.7281
O 0.7424 0.6152 0.9532
O 0.7501 0.5989 0.4458
O 0.7701 0.0475 0.1462
O 0.8389 0.8725 0.5638
O 0.9082 0.6327 0.1897
O 0.9853 0.4577 0.6079
O 0.9975 0.9062 0.3079

Diffraction record for LiTaF6. The powder XRD pattern is calculated, not measured: it uses a PBE-relaxed structure and λ = 1.5418 Å (Cu Kα).

Main lines, by angle (2θ = 15–90°):
Position (°2θ)	Rel. int.
19.26	100
22.28	84
31.71	28
37.37	52
45.45	22
49.79	21
51.18	34
56.48	12
60.25	19
66.23	13
69.69	18
70.83	16

Cell and atoms:
a b c (Å): 5.6441 5.6441 5.6441
angles (deg): 60.00 60.00 60.00
Element x y z (fractional)
Li 0.0000 0.0000 0.0000
Ta 0.5000 0.5000 0.5000
F 0.2590 0.2590 0.7410
F 0.2590 0.7410 0.2590
F 0.2590 0.7410 0.7410
F 0.7410 0.2590 0.2590
F 0.7410 0.2590 0.7410
F 0.7410 0.7410 0.2590

Diffraction record for Ba3P2S8. The powder XRD pattern is calculated, not measured: it uses a PBE-relaxed structure and λ = 1.5418 Å (Cu Kα).

Main lines, by angle (2θ = 15–90°):
Position (°2θ)	Rel. int.
18.26	70
25.38	56
26.48	100
30.52	35
32.35	72
34.26	22
37.00	67
40.83	31
46.07	23
54.52	36
59.35	26
63.77	24

Cell and atoms:
a b c (Å): 6.7331 6.7331 8.7879
angles (deg): 90.00 90.00 120.00
Element x y z (fractional)
Ba 0.0000 0.0000 0.0000
Ba 0.3333 0.6667 0.3649
Ba 0.6667 0.3333 0.6351
P 0.3333 0.6667 0.7815
P 0.6667 0.3333 0.2185
S 0.1706 0.3412 0.6918
S 0.1706 0.8294 0.6918
S 0.3333 0.6667 0.0115
S 0.3412 0.1706 0.3082
S 0.6588 0.8294 0.6918
S 0.6667 0.3333 0.9885
S 0.8294 0.1706 0.3082
S 0.8294 0.6588 0.3082

Diffraction record for LaBr2. The powder XRD pattern is calculated, not measured: it uses a PBE-relaxed structure and λ = 1.5418 Å (Cu Kα).

Main lines, by angle (2θ = 15–90°):
Position (°2θ)	Rel. int.
25.47	46
27.43	70
30.44	29
34.25	100
38.66	15
43.53	20
43.63	48
45.30	18
56.61	23
66.50	32
74.09	21
80.11	15

Cell and atoms:
a b c (Å): 4.1487 4.1487 15.2934
angles (deg): 90.00 90.00 120.00
Element x y z (fractional)
La 0.0000 0.0000 0.2500
La 0.0000 0.0000 0.7500
Br 0.3333 0.6667 0.1249
Br 0.3333 0.6667 0.3751
Br 0.6667 0.3333 0.6249
Br 0.6667 0.3333 0.8751

Diffraction record for U3Co7B2. The powder XRD pattern is calculated, not measured: it uses a PBE-relaxed structure and λ = 1.5418 Å (Cu Kα).

Main lines, by angle (2θ = 15–90°):
Position (°2θ)	Rel. int.
20.72	21
21.69	29
33.14	24
36.29	53
38.54	100
42.15	18
42.67	45
44.92	79
66.78	38
71.33	20
75.80	24
77.05	18

Cell and atoms:
a b c (Å): 4.9510 4.9510 13.9324
angles (deg): 90.00 90.00 120.00
Element x y z (fractional)
U 0.3333 0.6667 0.0300
U 0.3333 0.6667 0.2500
U 0.3333 0.6667 0.4700
U 0.6667 0.3333 0.5300
U 0.6667 0.3333 0.7500
U 0.6667 0.3333 0.9700
Co 0.0000 0.0000 0.0000
Co 0.0000 0.0000 0.5000
Co 0.1652 0.3304 0.6465
Co 0.1652 0.3304 0.8535
Co 0.1652 0.8348 0.6465
Co 0.1652 0.8348 0.8535
Co 0.3304 0.1652 0.1465
Co 0.3304 0.1652 0.3535
Co 0.6696 0.8348 0.6465
Co 0.6696 0.8348 0.8535
Co 0.8348 0.1652 0.1465
Co 0.8348 0.1652 0.3535
Co 0.8348 0.6696 0.1465
Co 0.8348 0.6696 0.3535
B 0.0000 0.0000 0.2500
B 0.0000 0.0000 0.7500
B 0.3333 0.6667 0.7500
B 0.6667 0.3333 0.2500

Diffraction record for PaTi. The powder XRD pattern is calculated, not measured: it uses a PBE-relaxed structure and λ = 1.5418 Å (Cu Kα).

Main lines, by angle (2θ = 15–90°):
Position (°2θ)	Rel. int.
17.27	55
33.67	46
34.96	25
38.08	100
49.32	33
60.22	15
63.15	12
64.77	21
71.56	18
73.51	15
81.46	8
83.65	8

Cell and atoms:
a b c (Å): 3.0735 3.0735 5.1335
angles (deg): 90.00 90.00 120.00
Element x y z (fractional)
Pa 0.0000 0.0000 0.0000
Ti 0.6667 0.3333 0.5000

Diffraction record for DySiRu. The powder XRD pattern is calculated, not measured: it uses a PBE-relaxed structure and λ = 1.5418 Å (Cu Kα).

Main lines, by angle (2θ = 15–90°):
Position (°2θ)	Rel. int.
24.02	33
27.23	25
35.05	95
35.27	100
36.00	30
40.17	30
40.68	32
41.61	45
43.51	31
58.29	22
59.59	22
69.97	31

Cell and atoms:
a b c (Å): 7.0028 4.3414 7.1091
angles (deg): 90.00 90.00 90.00
Element x y z (fractional)
Dy 0.0140 0.2500 0.1866
Dy 0.4860 0.7500 0.6866
Dy 0.5140 0.2500 0.3134
Dy 0.9860 0.7500 0.8134
Si 0.1957 0.2500 0.6061
Si 0.3043 0.7500 0.1061
Si 0.6957 0.2500 0.8939
Si 0.8043 0.7500 0.3939
Ru 0.1530 0.7500 0.4327
Ru 0.3470 0.2500 0.9327
Ru 0.6530 0.7500 0.0673
Ru 0.8470 0.2500 0.5673

Diffraction record for HoSnPt. The powder XRD pattern is calculated, not measured: it uses a PBE-relaxed structure and λ = 1.5418 Å (Cu Kα).

Main lines, by angle (2θ = 15–90°):
Position (°2θ)	Rel. int.
23.70	13
32.65	86
35.52	100
36.56	33
41.66	50
43.15	39
45.16	28
59.44	16
63.11	30
66.90	36
77.06	23
81.97	11

Cell and atoms:
a b c (Å): 7.5092 7.5092 4.0157
angles (deg): 90.00 90.00 120.00
Element x y z (fractional)
Ho 0.0000 0.5952 0.0000
Ho 0.4048 0.4048 0.0000
Ho 0.5952 0.0000 0.0000
Sn 0.0000 0.2598 0.5000
Sn 0.2598 0.0000 0.5000
Sn 0.7402 0.7402 0.5000
Pt 0.0000 0.0000 0.0000
Pt 0.3333 0.6667 0.5000
Pt 0.6667 0.3333 0.5000

Diffraction record for LiBH4. The powder XRD pattern is calculated, not measured: it uses a PBE-relaxed structure and λ = 1.5418 Å (Cu Kα).

Main lines, by angle (2θ = 15–90°):
Position (°2θ)	Rel. int.
24.59	84
26.57	100
28.01	66
36.52	33
43.29	48
47.80	16
50.42	13
51.52	42
57.89	10
72.21	11
75.57	7
85.52	10

Cell and atoms:
a b c (Å): 4.1800 4.1800 6.7099
angles (deg): 90.00 90.00 120.00
Element x y z (fractional)
Li 0.3333 0.6667 0.0000
Li 0.6667 0.3333 0.5000
B 0.3333 0.6667 0.5519
B 0.6667 0.3333 0.0519
H 0.1747 0.3494 0.6124
H 0.1747 0.8253 0.6124
H 0.3333 0.6667 0.3704
H 0.3494 0.1747 0.1124
H 0.6506 0.8253 0.6124
H 0.6667 0.3333 0.8704
H 0.8253 0.1747 0.1124
H 0.8253 0.6506 0.1124

Diffraction record for Sr3SbP. The powder XRD pattern is calculated, not measured: it uses a PBE-relaxed structure and λ = 1.5418 Å (Cu Kα).

Main lines, by angle (2θ = 15–90°):
Position (°2θ)	Rel. int.
25.29	35
29.28	100
32.83	54
41.88	74
44.56	29
49.56	16
51.92	26
54.21	13
60.72	12
62.80	16
68.82	33
76.50	25

Cell and atoms:
a b c (Å): 6.1007 6.1007 6.1007
angles (deg): 90.00 90.00 90.00
Element x y z (fractional)
Sr 0.0000 0.0000 0.5000
Sr 0.0000 0.5000 0.0000
Sr 0.5000 0.0000 0.0000
Sb 0.0000 0.0000 0.0000
P 0.5000 0.5000 0.5000

Diffraction record for NaAs3Pb4O12. The powder XRD pattern is calculated, not measured: it uses a PBE-relaxed structure and λ = 1.5418 Å (Cu Kα).

Main lines, by angle (2θ = 15–90°):
Position (°2θ)	Rel. int.
15.55	21
21.08	20
23.91	24
26.63	21
29.25	100
29.69	52
30.27	38
42.92	19
45.50	33
46.32	28
47.80	23
58.69	23

Cell and atoms:
a b c (Å): 10.2270 10.2270 7.4435
angles (deg): 90.00 90.00 120.00
Element x y z (fractional)
Na 0.3333 0.6667 0.0000
Na 0.6667 0.3333 0.5000
As 0.0166 0.6227 0.7445
As 0.3773 0.3938 0.7445
As 0.3938 0.0166 0.2445
As 0.6062 0.9834 0.7445
As 0.6227 0.6062 0.2445
As 0.9834 0.3773 0.2445
Pb 0.0017 0.2577 0.7410
Pb 0.2560 0.9983 0.7410
Pb 0.2577 0.2560 0.2410
Pb 0.3333 0.6667 0.4784
Pb 0.6667 0.3333 0.9784
Pb 0.7423 0.7440 0.7410
Pb 0.7440 0.0017 0.2410
Pb 0.9983 0.7423 0.2410
O 0.0846 0.7447 0.9244
O 0.0873 0.7406 0.5604
O 0.1032 0.5134 0.7447
O 0.1774 0.4855 0.2408
O 0.2553 0.3399 0.9244
O 0.2594 0.3467 0.5604
O 0.3082 0.8226 0.2408
O 0.3399 0.0846 0.4244
O 0.3467 0.0873 0.0604
O 0.4103 0.8968 0.7447
O 0.4855 0.3082 0.7408
O 0.4866 0.5897 0.7447
O 0.5134 0.4103 0.2447
O 0.5145 0.6918 0.2408
O 0.5897 0.1032 0.2447
O 0.6533 0.9127 0.5604
O 0.6601 0.9154 0.9244
O 0.6918 0.1774 0.7408
O 0.7406 0.6533 0.0604
O 0.7447 0.6601 0.4244
O 0.8226 0.5145 0.7408
O 0.8968 0.4866 0.2447
O 0.9127 0.2594 0.0604
O 0.9154 0.2553 0.4244